(1)
Computed powder diffraction line list
Compound: La3Pm5Sc2
Radiation: Cu Ka
Structure: the GGA-PBE geometry in Alexandria

Structural model:
a b c (Å): 9.539 9.539 9.526
angles (deg): 109.36 109.36 109.54
Fractional coordinates of all 20 atoms:
La: 0.023 0.277 0.055
La: 0.229 0.771 0.750
La: 0.277 0.023 0.555
La: 0.723 0.977 0.445
La: 0.771 0.229 0.250
La: 0.977 0.723 0.945
Pm: 0.026 0.974 0.750
Pm: 0.147 0.381 0.766
Pm: 0.275 0.725 0.250
Pm: 0.381 0.147 0.266
Pm: 0.473 0.527 0.250
Pm: 0.527 0.473 0.750
Pm: 0.619 0.853 0.734
Pm: 0.725 0.275 0.750
Pm: 0.853 0.619 0.234
Pm: 0.974 0.026 0.250
Sc: 0.232 0.468 0.452
Sc: 0.468 0.232 0.952
Sc: 0.532 0.768 0.048
Sc: 0.768 0.532 0.548

The 10 most intense peaks (15° ≤ 2θ ≤ 90°), in order of rising 2θ:
- 22.82°, d = 3.897 Å, I = 14.1
- 30.36°, d = 2.944 Å, I = 100.0
- 32.53°, d = 2.752 Å, I = 30.4
- 36.46°, d = 2.464 Å, I = 13.0
- 38.29°, d = 2.350 Å, I = 10.0
- 46.61°, d = 1.949 Å, I = 11.4
- 49.62°, d = 1.837 Å, I = 15.3
- 56.65°, d = 1.625 Å, I = 8.9
- 66.80°, d = 1.400 Å, I = 10.0
- 66.89°, d = 1.399 Å, I = 9.4

=====

(2)
Computed powder diffraction line list
Compound: LaPm4Sc
Radiation: Cu Ka
Structure: the GGA-PBE geometry in Alexandria

Structural model:
a b c (Å): 6.152 3.628 8.862
angles (deg): 90.00 90.70 90.00
Fractional coordinates of all 6 atoms:
La: 0.000 0.000 0.000
Pm: 0.166 0.500 0.336
Pm: 0.339 0.000 0.677
Pm: 0.661 0.000 0.323
Pm: 0.834 0.500 0.664
Sc: 0.500 0.500 0.000

The 10 most intense peaks (15° ≤ 2θ ≤ 90°), in order of rising 2θ:
- 30.26°, d = 2.954 Å, I = 52.3
- 30.39°, d = 2.942 Å, I = 100.0
- 30.65°, d = 2.917 Å, I = 49.0
- 35.03°, d = 2.561 Å, I = 68.4
- 35.74°, d = 2.512 Å, I = 32.0
- 50.66°, d = 1.802 Å, I = 23.2
- 51.17°, d = 1.785 Å, I = 23.7
- 59.83°, d = 1.546 Å, I = 28.4
- 60.06°, d = 1.540 Å, I = 14.3
- 60.30°, d = 1.535 Å, I = 14.1

=====

(3)
Computed powder diffraction line list
Compound: LaPm5Sc3
Radiation: Cu Ka
Structure: the GGA-PBE geometry in Alexandria

Structural model:
a b c (Å): 9.359 9.359 9.649
angles (deg): 120.43 120.43 75.29
Fractional coordinates of all 18 atoms:
La: 0.225 0.225 0.051
La: 0.775 0.775 0.949
Pm: 0.121 0.615 0.265
Pm: 0.252 0.252 0.416
Pm: 0.254 0.746 0.000
Pm: 0.270 0.270 0.767
Pm: 0.385 0.879 0.735
Pm: 0.615 0.121 0.265
Pm: 0.730 0.730 0.233
Pm: 0.746 0.254 0.000
Pm: 0.748 0.748 0.584
Pm: 0.879 0.385 0.735
Sc: 0.000 0.000 0.000
Sc: 0.013 0.013 0.355
Sc: 0.496 0.496 0.178
Sc: 0.500 0.500 0.500
Sc: 0.504 0.504 0.822
Sc: 0.987 0.987 0.645

The 10 most intense peaks (15° ≤ 2θ ≤ 90°), in order of rising 2θ:
- 22.03°, d = 4.035 Å, I = 77.1
- 28.72°, d = 3.108 Å, I = 27.1
- 29.00°, d = 3.079 Å, I = 52.4
- 29.61°, d = 3.017 Å, I = 61.0
- 31.30°, d = 2.858 Å, I = 100.0
- 32.76°, d = 2.734 Å, I = 86.5
- 33.13°, d = 2.704 Å, I = 52.6
- 35.20°, d = 2.549 Å, I = 66.9
- 39.78°, d = 2.266 Å, I = 41.9
- 40.10°, d = 2.249 Å, I = 44.2

=====

(4)
Computed powder diffraction line list
Compound: La6Pm8Sc
Radiation: Cu Ka
Structure: the GGA-PBE geometry in Alexandria

Structural model:
a b c (Å): 8.860 8.860 8.860
angles (deg): 63.21 63.21 63.21
Fractional coordinates of all 15 atoms:
La: 0.040 0.736 0.594
La: 0.264 0.406 0.960
La: 0.406 0.960 0.264
La: 0.594 0.040 0.736
La: 0.736 0.594 0.040
La: 0.960 0.264 0.406
Pm: 0.078 0.078 0.078
Pm: 0.208 0.264 0.613
Pm: 0.264 0.613 0.208
Pm: 0.387 0.792 0.736
Pm: 0.613 0.208 0.264
Pm: 0.736 0.387 0.792
Pm: 0.792 0.736 0.387
Pm: 0.922 0.922 0.922
Sc: 0.500 0.500 0.500

The 10 most intense peaks (15° ≤ 2θ ≤ 90°), in order of rising 2θ:
- 23.73°, d = 3.749 Å, I = 8.5
- 29.69°, d = 3.009 Å, I = 41.2
- 30.63°, d = 2.919 Å, I = 100.0
- 31.62°, d = 2.830 Å, I = 30.8
- 31.86°, d = 2.809 Å, I = 18.4
- 35.83°, d = 2.506 Å, I = 15.2
- 51.71°, d = 1.768 Å, I = 10.3
- 52.53°, d = 1.742 Å, I = 11.2
- 53.81°, d = 1.704 Å, I = 16.9
- 58.61°, d = 1.575 Å, I = 8.1

=====

(5)
Computed powder diffraction line list
Compound: La8Pm2Sc
Radiation: Cu Ka
Structure: the GGA-PBE geometry in Alexandria

Structural model:
a b c (Å): 9.780 9.780 9.780
angles (deg): 145.22 132.11 60.53
Fractional coordinates of all 11 atoms:
La: 0.166 0.372 0.795
La: 0.168 0.168 0.000
La: 0.277 0.000 0.277
La: 0.423 0.628 0.795
La: 0.577 0.372 0.205
La: 0.723 0.000 0.723
La: 0.832 0.832 0.000
La: 0.834 0.628 0.205
Pm: 0.300 0.800 0.500
Pm: 0.700 0.200 0.500
Sc: 0.000 0.500 0.500

The 10 most intense peaks (15° ≤ 2θ ≤ 90°), in order of rising 2θ:
- 24.78°, d = 3.593 Å, I = 22.4
- 28.39°, d = 3.144 Å, I = 20.9
- 30.57°, d = 2.924 Å, I = 82.7
- 31.54°, d = 2.837 Å, I = 100.0
- 31.78°, d = 2.816 Å, I = 10.2
- 39.76°, d = 2.267 Å, I = 13.0
- 48.84°, d = 1.865 Å, I = 13.5
- 54.97°, d = 1.670 Å, I = 20.6
- 56.00°, d = 1.642 Å, I = 16.5
- 58.74°, d = 1.572 Å, I = 14.3

=====

(6)
Computed powder diffraction line list
Compound: La6Pm4Sc
Radiation: Cu Ka
Structure: the GGA-PBE geometry in Alexandria

Structural model:
a b c (Å): 5.745 5.745 26.224
angles (deg): 90.00 90.00 117.39
Fractional coordinates of all 22 atoms:
La: 0.000 0.000 0.000
La: 0.000 0.000 0.500
La: 0.056 0.944 0.750
La: 0.293 0.707 0.105
La: 0.293 0.707 0.395
La: 0.384 0.616 0.685
La: 0.384 0.616 0.815
La: 0.616 0.384 0.185
La: 0.616 0.384 0.315
La: 0.707 0.293 0.605
La: 0.707 0.293 0.895
La: 0.944 0.056 0.250
Pm: 0.054 0.946 0.625
Pm: 0.054 0.946 0.875
Pm: 0.352 0.648 0.545
Pm: 0.352 0.648 0.955
Pm: 0.648 0.352 0.045
Pm: 0.648 0.352 0.455
Pm: 0.946 0.054 0.125
Pm: 0.946 0.054 0.375
Sc: 0.284 0.716 0.250
Sc: 0.716 0.284 0.750

The 10 most intense peaks (15° ≤ 2θ ≤ 90°), in order of rising 2θ:
- 29.58°, d = 3.020 Å, I = 37.6
- 29.96°, d = 2.982 Å, I = 100.0
- 31.17°, d = 2.870 Å, I = 50.5
- 31.36°, d = 2.853 Å, I = 43.8
- 32.47°, d = 2.758 Å, I = 56.4
- 42.89°, d = 2.108 Å, I = 32.5
- 53.92°, d = 1.700 Å, I = 10.7
- 54.76°, d = 1.676 Å, I = 12.8
- 56.05°, d = 1.641 Å, I = 12.4
- 62.18°, d = 1.493 Å, I = 14.2

=====

(7)
Computed powder diffraction line list
Compound: LaPm10Sc4
Radiation: Cu Ka
Structure: the GGA-PBE geometry in Alexandria

Structural model:
a b c (Å): 9.332 9.332 9.332
angles (deg): 97.89 97.89 136.51
Fractional coordinates of all 15 atoms:
La: 0.000 0.000 0.000
Pm: 0.038 0.881 0.401
Pm: 0.119 0.520 0.157
Pm: 0.250 0.750 0.500
Pm: 0.364 0.962 0.843
Pm: 0.480 0.636 0.599
Pm: 0.520 0.364 0.401
Pm: 0.636 0.038 0.157
Pm: 0.750 0.250 0.500
Pm: 0.881 0.480 0.843
Pm: 0.962 0.119 0.599
Sc: 0.321 0.569 0.890
Sc: 0.431 0.321 0.752
Sc: 0.569 0.679 0.248
Sc: 0.679 0.431 0.110

The 10 most intense peaks (15° ≤ 2θ ≤ 90°), in order of rising 2θ:
- 22.94°, d = 3.876 Å, I = 92.2
- 25.77°, d = 3.457 Å, I = 47.2
- 27.78°, d = 3.211 Å, I = 51.3
- 32.67°, d = 2.741 Å, I = 100.0
- 34.77°, d = 2.580 Å, I = 99.0
- 37.41°, d = 2.404 Å, I = 35.1
- 40.70°, d = 2.217 Å, I = 27.0
- 42.07°, d = 2.148 Å, I = 46.4
- 45.98°, d = 1.974 Å, I = 49.1
- 63.64°, d = 1.462 Å, I = 28.2

=====

(8)
Computed powder diffraction line list
Compound: La5Pm2Sc2
Radiation: Cu Ka
Structure: the GGA-PBE geometry in Alexandria

Structural model:
a b c (Å): 10.251 10.251 8.710
angles (deg): 102.23 102.23 19.66
Fractional coordinates of all 9 atoms:
La: 0.000 0.000 0.000
La: 0.219 0.219 0.648
La: 0.336 0.336 0.006
La: 0.664 0.664 0.994
La: 0.781 0.781 0.352
Pm: 0.055 0.055 0.660
Pm: 0.945 0.945 0.340
Sc: 0.402 0.402 0.654
Sc: 0.598 0.598 0.346

The 10 most intense peaks (15° ≤ 2θ ≤ 90°), in order of rising 2θ:
- 27.56°, d = 3.237 Å, I = 53.3
- 28.90°, d = 3.090 Å, I = 39.2
- 30.58°, d = 2.923 Å, I = 100.0
- 31.20°, d = 2.867 Å, I = 94.2
- 31.56°, d = 2.835 Å, I = 90.6
- 31.80°, d = 2.814 Å, I = 41.7
- 34.10°, d = 2.629 Å, I = 67.4
- 34.37°, d = 2.609 Å, I = 35.9
- 52.28°, d = 1.750 Å, I = 27.7
- 61.77°, d = 1.502 Å, I = 33.3